For Te7IrCl7, DFT lattice parameters and positions (GGA-PBE) gives the theoretical powder X-ray diffraction pattern in this record (Cu Ka).
Intensities are scaled so that the largest is 100.

Cell and atoms:
```
data_Te7IrCl7
_symmetry_space_group_name_H-M 'P -1'
_symmetry_Int_Tables_number 2
_cell_length_a 9.737
_cell_length_b 10.812
_cell_length_c 11.743
_cell_angle_alpha 91.60
_cell_angle_beta 114.37
_cell_angle_gamma 112.11
loop_
_symmetry_equiv_pos_as_xyz
'x,y,z'
'-x,-y,-z'
loop_
_atom_site_label
_atom_site_type_symbol
_atom_site_fract_x
_atom_site_fract_y
_atom_site_fract_z
_atom_site_occupancy
Te1 Te 0.055 0.324 0.497 1
Te2 Te 0.056 0.758 0.235 1
Te3 Te 0.102 0.969 0.806 1
Te4 Te 0.208 0.253 0.361 1
Te5 Te 0.212 0.044 0.526 1
Te6 Te 0.259 0.854 0.705 1
Te7 Te 0.387 0.333 0.820 1
Ir1 Ir 0.087 0.149 0.652 1
Cl1 Cl 0.135 0.492 0.796 1
Cl2 Cl 0.139 0.257 0.989 1
Cl3 Cl 0.248 0.008 0.234 1
Cl4 Cl 0.267 0.733 0.469 1
Cl5 Cl 0.405 0.502 0.670 1
Cl6 Cl 0.420 0.707 0.234 1
Cl7 Cl 0.442 0.165 0.969 1
```

Principal peaks in the range 10 to 90 degrees two-theta, by intensity:
2θ 10.91, rel. 100, hkl 1 -1 0
2θ 10.39, rel. 99, hkl 1 0 -1
2θ 11.03, rel. 67, hkl 1 0 0
2θ 31.81, rel. 57, hkl -3 2 3
2θ 33.34, rel. 35, hkl 0 3 -3
2θ 32.22, rel. 34, hkl 2 1 1
2θ 29.64, rel. 23, hkl 1 -3 2
2θ 48.17, rel. 19, hkl -5 1 2
2θ 28.77, rel. 16, hkl 1 1 2
2θ 41.11, rel. 16, hkl 1 4 -1